For PmGeMo, DFT lattice parameters and positions (PBE) gives the computed powder diffractogram in this record (λ = 1.5418 Å (Cu Kα)).
No peak broadening, texture or thermal motion is included.

Cell and atoms:
```
9
Lattice="3.9270 2.2673 4.2488 -3.9270 2.2673 4.2488 0.0000 -4.5345 4.2488" Properties=species:S:1:pos:R:3 pbc="T T T"
Pm -0.9427 -2.1649 4.2488
Pm -1.4035 1.8989 4.2488
Pm 2.3462 0.2660 4.2488
Ge -2.4161 -0.1651 6.6490
Ge 1.3510 -2.0099 6.6490
Ge 1.0651 2.1750 6.6490
Mo 0.0000 0.0000 6.0652
Mo 0.0000 0.0000 8.4797
Mo 0.0000 0.0000 10.7667
```

Largest 10 diffraction maxima, low angle first, 10 to 80 degrees two-theta:
14.8 deg, rel. 19.1
27.1 deg, rel. 18.4
31.0 deg, rel. 100.0
35.6 deg, rel. 17.8
39.8 deg, rel. 54.1
42.6 deg, rel. 16.1
48.8 deg, rel. 16.3
50.4 deg, rel. 15.9
51.3 deg, rel. 15.1
59.6 deg, rel. 25.4



For PrGeMo, DFT lattice parameters and positions (PBE) gives the computed powder diffractogram in this record (λ = 1.5418 Å (Cu Kα)).
No peak broadening, texture or thermal motion is included.

Cell and atoms:
```
6
Lattice="3.8699 0.0000 0.0000 0.0000 4.1467 0.0000 0.0000 0.0000 8.1509" Properties=species:S:1:pos:R:3 pbc="T T T"
Pr 0.9675 1.0367 1.2077
Pr 2.9024 3.1100 6.9431
Ge 0.9675 1.0367 5.8609
Ge 2.9024 3.1100 2.2900
Mo 0.9675 3.1100 4.1117
Mo 2.9024 1.0367 4.0392
```

Largest 10 diffraction maxima, low angle first, 10 to 80 degrees two-theta:
30.8 deg, rel. 54.5
31.6 deg, rel. 28.3
31.9 deg, rel. 56.6
33.0 deg, rel. 32.3
33.5 deg, rel. 97.2
38.7 deg, rel. 100.0
43.7 deg, rel. 40.7
47.0 deg, rel. 32.8
55.1 deg, rel. 23.9
66.0 deg, rel. 23.3



For ReGe4Mo, DFT lattice parameters and positions (PBE) gives the computed powder diffractogram in this record (λ = 1.5418 Å (Cu Kα)).
No peak broadening, texture or thermal motion is included.

Cell and atoms:
```
12
Lattice="4.8200 0.0000 0.0000 0.0000 7.1203 0.0000 0.0000 0.0000 6.9058" Properties=species:S:1:pos:R:3 pbc="T T T"
Re 0.0000 0.0000 0.0000
Re 0.0000 3.5602 3.4529
Ge 0.5669 1.7734 5.2204
Ge 0.5669 1.7867 1.7675
Ge 1.8380 5.3181 6.7234
Ge 1.8380 5.3623 3.2705
Ge 2.9820 1.7580 3.2705
Ge 2.9820 1.8022 6.7234
Ge 4.2532 5.3336 1.7675
Ge 4.2532 5.3469 5.2204
Mo 2.4100 0.0000 1.5238
Mo 2.4100 3.5602 4.9767
```

Largest 10 diffraction maxima, low angle first, 10 to 80 degrees two-theta:
17.9 deg, rel. 81.0
25.8 deg, rel. 54.9
34.3 deg, rel. 26.6
37.3 deg, rel. 12.5
39.5 deg, rel. 20.4
40.9 deg, rel. 100.0
41.7 deg, rel. 19.4
45.5 deg, rel. 28.9
51.3 deg, rel. 17.8
53.0 deg, rel. 16.1



For ScReGe2Mo, DFT lattice parameters and positions (PBE) gives the computed powder diffractogram in this record (λ = 1.5418 Å (Cu Kα)).
No peak broadening, texture or thermal motion is included.

Cell and atoms:
```
5
Lattice="4.8063 0.0000 0.0000 0.0000 4.8063 0.0000 0.0000 0.0000 4.6503" Properties=species:S:1:pos:R:3 pbc="T T T"
Sc 0.0000 0.0000 0.0000
Re 0.0000 0.0000 2.3251
Ge 0.0000 2.4032 0.0000
Ge 2.4032 0.0000 0.0000
Mo 2.4032 2.4032 2.3251
```

Largest 10 diffraction maxima, low angle first, 10 to 80 degrees two-theta:
18.5 deg, rel. 22.8
26.2 deg, rel. 18.1
32.6 deg, rel. 100.0
37.4 deg, rel. 52.2
38.7 deg, rel. 23.7
54.0 deg, rel. 17.8
54.9 deg, rel. 33.7
64.5 deg, rel. 28.1
66.3 deg, rel. 13.0
68.4 deg, rel. 17.3



For SiGeMo2, DFT lattice parameters and positions (PBE) gives the computed powder diffractogram in this record (λ = 1.5418 Å (Cu Kα)).
No peak broadening, texture or thermal motion is included.

Cell and atoms:
```
16
Lattice="6.1782 0.0000 0.0000 0.0000 6.1782 0.0000 0.0000 0.0000 6.1782" Properties=species:S:1:pos:R:3 pbc="T T T"
Si 0.0000 0.0000 0.0000
Si 0.0000 3.0891 3.0891
Si 3.0891 0.0000 3.0891
Si 3.0891 3.0891 0.0000
Ge 0.0000 0.0000 3.0891
Ge 0.0000 3.0891 0.0000
Ge 3.0891 0.0000 0.0000
Ge 3.0891 3.0891 3.0891
Mo 1.5446 1.5446 1.5446
Mo 1.5446 1.5446 4.6337
Mo 1.5446 4.6337 1.5446
Mo 1.5446 4.6337 4.6337
Mo 4.6337 1.5446 1.5446
Mo 4.6337 1.5446 4.6337
Mo 4.6337 4.6337 1.5446
Mo 4.6337 4.6337 4.6337
```

Largest 9 diffraction maxima, low angle first, 10 to 80 degrees two-theta:
25.0 deg, rel. 6.0
28.9 deg, rel. 12.6
41.3 deg, rel. 100.0
48.9 deg, rel. 3.1
51.2 deg, rel. 3.2
59.9 deg, rel. 16.2
65.9 deg, rel. 1.2
67.8 deg, rel. 4.1
75.4 deg, rel. 33.0



For SrTcGe2Mo, DFT lattice parameters and positions (PBE) gives the computed powder diffractogram in this record (λ = 1.5418 Å (Cu Kα)).
No peak broadening, texture or thermal motion is included.

Cell and atoms:
```
5
Lattice="5.1877 0.0000 0.0000 0.0000 5.1877 0.0000 0.0000 0.0000 4.7755" Properties=species:S:1:pos:R:3 pbc="T T T"
Sr 0.0000 0.0000 0.0000
Tc 2.5939 2.5939 2.3877
Ge 0.0000 2.5939 0.0000
Ge 2.5939 0.0000 0.0000
Mo 0.0000 0.0000 2.3877
```

Largest 10 diffraction maxima, low angle first, 10 to 80 degrees two-theta:
17.1 deg, rel. 21.9
24.3 deg, rel. 24.7
25.3 deg, rel. 19.4
30.7 deg, rel. 98.0
34.6 deg, rel. 100.0
37.7 deg, rel. 39.4
49.7 deg, rel. 34.9
52.1 deg, rel. 60.7
59.6 deg, rel. 28.3
64.0 deg, rel. 32.2



For Ta2Ge6Mo, DFT lattice parameters and positions (PBE) gives the computed powder diffractogram in this record (λ = 1.5418 Å (Cu Kα)).
No peak broadening, texture or thermal motion is included.

Cell and atoms:
```
9
Lattice="2.4729 -4.3217 0.0000 2.4729 4.3217 0.0000 0.0000 0.0000 6.7751" Properties=species:S:1:pos:R:3 pbc="T T T"
Ta 1.2364 2.1608 1.1063
Ta 1.2364 -2.1608 5.6688
Ge 1.2471 0.6960 5.6256
Ge 1.2471 -0.6960 1.1495
Ge 2.4729 1.4366 3.3875
Ge 2.4729 -1.4366 3.3875
Ge 3.6987 0.6960 1.1495
Ge 3.6987 -0.6960 5.6256
Mo 0.0000 0.0000 3.3875
```

Largest 10 diffraction maxima, low angle first, 10 to 80 degrees two-theta:
24.5 deg, rel. 26.3
33.7 deg, rel. 16.0
38.5 deg, rel. 100.0
38.8 deg, rel. 42.8
39.9 deg, rel. 48.2
45.2 deg, rel. 63.9
45.4 deg, rel. 26.7
66.8 deg, rel. 38.8
71.6 deg, rel. 16.1
76.5 deg, rel. 14.0



For Ta4Ge3Mo, DFT lattice parameters and positions (PBE) gives the computed powder diffractogram in this record (λ = 1.5418 Å (Cu Kα)).
No peak broadening, texture or thermal motion is included.

Cell and atoms:
```
16
Lattice="-5.0610 5.0610 2.5683 5.0610 -5.0610 2.5683 5.0610 5.0610 -2.5683" Properties=species:S:1:pos:R:3 pbc="T T T"
Ta 7.8448 0.7619 0.0000
Ta 0.7619 2.2772 0.0000
Ta 5.8229 2.7838 0.0000
Ta 2.7838 4.2992 0.0000
Ta 2.2772 0.7619 2.5683
Ta -0.7619 2.2772 2.5683
Ta 4.2992 2.7838 2.5683
Ta -2.7838 4.2992 2.5683
Ge 3.3821 1.6789 0.0000
Ge 0.0000 0.0000 1.2842
Ge 3.3821 -1.6789 2.5683
Ge 1.6789 6.7399 0.0000
Ge 0.0000 0.0000 3.8525
Ge 1.6789 3.3821 2.5683
Mo 5.0610 0.0000 1.2842
Mo 0.0000 5.0610 1.2842
```

Largest 10 diffraction maxima, low angle first, 10 to 80 degrees two-theta:
26.2 deg, rel. 15.9
34.9 deg, rel. 31.0
36.5 deg, rel. 62.9
39.3 deg, rel. 26.8
39.8 deg, rel. 43.1
40.7 deg, rel. 100.0
43.4 deg, rel. 40.6
64.3 deg, rel. 13.0
66.3 deg, rel. 13.4
66.6 deg, rel. 24.1



For Tb3Ge4Mo2, DFT lattice parameters and positions (PBE) gives the computed powder diffractogram in this record (λ = 1.5418 Å (Cu Kα)).
No peak broadening, texture or thermal motion is included.

Cell and atoms:
```
9
Lattice="6.1994 -2.1154 0.0000 6.1994 2.1154 0.0000 -4.0854 0.0000 7.3797" Properties=species:S:1:pos:R:3 pbc="T T T"
Tb 0.0000 0.0000 0.0000
Tb 3.4375 0.0000 2.0035
Tb 4.8758 0.0000 5.3762
Ge -0.8504 0.0000 2.9898
Ge 0.2721 0.0000 6.6610
Ge 8.0412 0.0000 0.7187
Ge 9.1637 0.0000 4.3899
Mo 1.3570 0.0000 4.4494
Mo 6.9563 0.0000 2.9303
```

Largest 10 diffraction maxima, low angle first, 10 to 80 degrees two-theta:
30.1 deg, rel. 18.1
30.2 deg, rel. 31.7
31.8 deg, rel. 51.0
32.6 deg, rel. 100.0
36.2 deg, rel. 24.0
39.1 deg, rel. 14.5
42.7 deg, rel. 36.1
45.5 deg, rel. 47.6
46.8 deg, rel. 18.0
54.3 deg, rel. 22.3



For ThTcGe2Mo, DFT lattice parameters and positions (PBE) gives the computed powder diffractogram in this record (λ = 1.5418 Å (Cu Kα)).
No peak broadening, texture or thermal motion is included.

Cell and atoms:
```
10
Lattice="4.1740 0.0000 0.0000 0.0000 4.1740 0.0000 0.0000 0.0000 11.0289" Properties=species:S:1:pos:R:3 pbc="T T T"
Th 0.0000 0.0000 0.0000
Th 2.0870 2.0870 5.5145
Tc 0.0000 2.0870 8.2717
Tc 2.0870 0.0000 2.7572
Ge 0.0000 0.0000 4.2186
Ge 0.0000 0.0000 6.8104
Ge 2.0870 2.0870 1.2959
Ge 2.0870 2.0870 9.7330
Mo 0.0000 2.0870 2.7572
Mo 2.0870 0.0000 8.2717
```

Largest 10 diffraction maxima, low angle first, 10 to 80 degrees two-theta:
22.8 deg, rel. 17.7
32.5 deg, rel. 72.1
34.5 deg, rel. 100.0
43.4 deg, rel. 45.5
46.6 deg, rel. 28.6
55.2 deg, rel. 37.7
59.2 deg, rel. 16.0
63.0 deg, rel. 17.3
65.5 deg, rel. 20.7
73.8 deg, rel. 21.9



For Ge2TeMo, DFT lattice parameters and positions (PBE) gives the computed powder diffractogram in this record (λ = 1.5418 Å (Cu Kα)).
No peak broadening, texture or thermal motion is included.

Cell and atoms:
```
16
Lattice="6.1227 0.0000 0.0000 0.0000 6.1227 0.0000 0.0000 0.0000 12.0367" Properties=species:S:1:pos:R:3 pbc="T T T"
Ge 1.2194 1.5307 1.5046
Ge 1.5307 4.2808 4.5138
Ge 1.5307 4.9033 10.5322
Ge 1.8419 1.5307 7.5230
Ge 4.2808 4.5920 7.5230
Ge 4.5920 1.2194 10.5322
Ge 4.5920 1.8419 4.5138
Ge 4.9033 4.5920 1.5046
Te 0.0000 0.0000 6.0184
Te 0.0000 3.0614 9.0276
Te 3.0614 0.0000 3.0092
Te 3.0614 3.0614 0.0000
Mo 0.0000 0.0000 0.0000
Mo 0.0000 3.0614 3.0092
Mo 3.0614 0.0000 9.0276
Mo 3.0614 3.0614 6.0184
```

Largest 10 diffraction maxima, low angle first, 10 to 80 degrees two-theta:
25.3 deg, rel. 100.0
33.6 deg, rel. 5.2
41.7 deg, rel. 22.0
42.1 deg, rel. 46.6
49.4 deg, rel. 28.2
50.1 deg, rel. 15.5
60.5 deg, rel. 6.2
67.2 deg, rel. 12.3
76.4 deg, rel. 11.3
77.2 deg, rel. 7.0



For Ti5Ge4Mo, DFT lattice parameters and positions (PBE) gives the computed powder diffractogram in this record (λ = 1.5418 Å (Cu Kα)).
No peak broadening, texture or thermal motion is included.

Cell and atoms:
```
20
Lattice="8.5300 0.0000 0.0000 0.0000 10.2735 0.0000 0.0000 0.0000 3.8775" Properties=species:S:1:pos:R:3 pbc="T T T"
Ti 0.5192 0.9848 0.9671
Ti 0.5192 4.1520 0.9671
Ti 2.1325 2.5684 2.9047
Ti 3.7458 0.9848 0.9671
Ti 3.7458 4.1520 0.9671
Ti 4.7842 6.1216 2.9104
Ti 4.7842 9.2887 2.9104
Ti 6.3975 7.7051 0.9728
Ti 8.0108 6.1216 2.9104
Ti 8.0108 9.2887 2.9104
Ge 0.4535 7.7051 0.9721
Ge 2.1325 5.1475 2.9061
Ge 2.1325 10.2628 2.9061
Ge 3.8114 7.7051 0.9721
Ge 4.7185 2.5684 2.9055
Ge 6.3975 0.0107 0.9714
Ge 6.3975 5.1260 0.9714
Ge 8.0764 2.5684 2.9055
Mo 2.1325 7.7051 2.9119
Mo 6.3975 2.5684 0.9656
```

Largest 10 diffraction maxima, low angle first, 10 to 80 degrees two-theta:
25.2 deg, rel. 28.6
28.1 deg, rel. 19.5
34.9 deg, rel. 51.0
39.3 deg, rel. 100.0
41.0 deg, rel. 63.5
41.3 deg, rel. 14.8
42.4 deg, rel. 13.0
43.6 deg, rel. 37.0
46.9 deg, rel. 33.6
53.6 deg, rel. 25.3



For Ti3Ge4Mo, DFT lattice parameters and positions (PBE) gives the computed powder diffractogram in this record (λ = 1.5418 Å (Cu Kα)).
No peak broadening, texture or thermal motion is included.

Cell and atoms:
```
16
Lattice="5.0380 0.0000 0.0000 0.0000 8.3752 0.0000 0.0000 0.0000 8.0091" Properties=species:S:1:pos:R:3 pbc="T T T"
Ti 1.2595 0.0305 1.2963
Ti 1.2595 2.0938 5.2766
Ti 1.2595 4.1571 1.2963
Ti 3.7785 4.2181 6.7128
Ti 3.7785 6.2814 2.7325
Ti 3.7785 8.3448 6.7128
Ge 1.2595 2.0938 2.7649
Ge 1.2595 4.2165 6.7474
Ge 1.2595 6.2814 2.7652
Ge 1.2595 8.3463 6.7474
Ge 3.7785 0.0289 1.2617
Ge 3.7785 2.0938 5.2439
Ge 3.7785 4.1587 1.2617
Ge 3.7785 6.2814 5.2442
Mo 1.2595 6.2814 5.3007
Mo 3.7785 2.0938 2.7084
```

Largest 10 diffraction maxima, low angle first, 10 to 80 degrees two-theta:
22.2 deg, rel. 34.0
24.0 deg, rel. 100.0
35.6 deg, rel. 59.1
40.1 deg, rel. 82.3
42.4 deg, rel. 11.9
43.2 deg, rel. 33.7
43.4 deg, rel. 39.7
45.3 deg, rel. 13.0
54.7 deg, rel. 63.7
57.2 deg, rel. 28.3



For TiGe8Mo6, DFT lattice parameters and positions (PBE) gives the computed powder diffractogram in this record (λ = 1.5418 Å (Cu Kα)).
No peak broadening, texture or thermal motion is included.

Cell and atoms:
```
15
Lattice="3.6928 2.1320 5.3728 -3.6928 2.1320 5.3728 0.0000 -4.2641 5.3728" Properties=species:S:1:pos:R:3 pbc="T T T"
Ti 0.0000 0.0000 0.0000
Ge -1.4020 -2.7157 6.8908
Ge -3.0528 -0.1437 9.2277
Ge 0.0000 0.0000 4.7943
Ge -1.6509 2.5720 6.8908
Ge 1.6509 -2.5720 9.2277
Ge 0.0000 0.0000 11.3242
Ge 3.0528 0.1437 6.8908
Ge 1.4020 2.7157 9.2277
Mo -1.6233 -0.0113 6.9589
Mo -0.8019 -1.4114 9.1596
Mo 0.8214 -1.4002 6.9589
Mo -0.8214 1.4002 9.1596
Mo 0.8019 1.4114 6.9589
Mo 1.6233 0.0113 9.1596
```

Largest 10 diffraction maxima, low angle first, 10 to 80 degrees two-theta:
14.9 deg, rel. 23.1
29.3 deg, rel. 30.1
33.4 deg, rel. 45.1
37.6 deg, rel. 27.3
38.9 deg, rel. 100.0
41.6 deg, rel. 24.7
43.7 deg, rel. 84.0
47.0 deg, rel. 38.6
52.4 deg, rel. 20.6
75.9 deg, rel. 17.9